# AuI
Simulated powder X-ray diffraction pattern, Cu Kα X-rays. Input: DFT lattice parameters and positions (GGA-PBE).

Principal peaks in the range 2θ = 10–90°, low angle first:
(0 0 1), 2θ 11.78, I = 100
(1 1 -1), 2θ 22.78, I = 27
(1 1 1), 2θ 23.28, I = 25
(2 0 0), 2θ 25.86, I = 64
(0 2 1), 2θ 32.37, I = 37
(0 0 3), 2θ 35.87, I = 22
(0 2 2), 2θ 38.61, I = 42
(2 2 1), 2θ 42.18, I = 21
(2 2 -2), 2θ 46.52, I = 25
(2 2 2), 2θ 47.59, I = 21

Lattice parameters (Å, degrees): 6.8958 5.9497 7.5150 90.00 92.12 90.00
Positions (direct):
Au (0.2321, 0.0000, 0.0001)
Au (0.2679, 0.5000, 0.9999)
Au (0.7321, 0.5000, 0.0001)
Au (0.7679, 0.0000, 0.9999)
I (0.2414, 0.2497, 0.7106)
I (0.2586, 0.7497, 0.2894)
I (0.7414, 0.7497, 0.7106)
I (0.7586, 0.2497, 0.2894)